For Dy5Te5Se, the PBE geometry in Alexandria gives the theoretical XRD peak list in this record (Cu Kα).
Intensities are scaled so that the largest is 1000.

Main lines, most intense first (2θ from 10° to 90°):
d [Å]  2θ (°)  Rel. int.
2.145  42.1  1000
3.045  29.3  683
3.028  29.5  665
3.017  29.6  646
2.137  42.3  484
1.750  52.3  269

Structure:
```
Dy5Te5Se
1.0
6.7624 -3.0450 0.0000
6.7624 3.0450 0.0000
-2.7359 0.0000 8.1071
Dy Te Se
5 5 1
Cartesian
0.0000 0.0000 0.0000 Dy
4.1440 0.0000 1.2866 Dy
2.7837 0.0000 5.5234 Dy
8.0052 0.0000 2.5837 Dy
6.6449 0.0000 6.8205 Dy
-0.0609 0.0000 6.6469 Te
1.3471 0.0000 2.7446 Te
5.3945 0.0000 4.0536 Te
9.4419 0.0000 5.3625 Te
10.8498 0.0000 1.4602 Te
6.7624 0.0000 0.0000 Se
```

For Dy2Te2Se, the PBE geometry in Alexandria gives the theoretical XRD peak list in this record (Cu Kα).
Intensities are scaled so that the largest is 1000.

Main lines, most intense first (2θ from 10° to 90°):
d [Å]  2θ (°)  Rel. int.
2.995  29.8  1000
3.106  28.7  799
2.156  41.9  793
3.542  25.1  266
5.064  17.5  248
7.085  12.5  237

Structure:
```
Dy2Te2Se
1.0
8.5856 0.0000 0.0000
0.0000 6.2118 0.0000
0.0000 0.0000 12.5413
Dy Te Se
8 8 4
Cartesian
0.7079 1.5530 2.9956 Dy
1.3275 1.5530 7.2368 Dy
2.9653 4.6589 0.9661 Dy
3.5849 4.6589 9.2662 Dy
5.0007 1.5530 3.2751 Dy
5.6203 1.5530 11.5752 Dy
7.2581 4.6589 5.3046 Dy
7.8776 4.6589 9.5458 Dy
0.6107 4.6589 2.8325 Te
1.2740 4.6589 7.1379 Te
3.0188 1.5530 0.8672 Te
3.6821 1.5530 9.1032 Te
4.9035 4.6589 3.4382 Te
5.5668 4.6589 11.6741 Te
7.3116 1.5530 5.4034 Te
7.9749 1.5530 9.7088 Te
1.5669 4.6589 11.1963 Se
2.7259 1.5530 4.9256 Se
5.8597 4.6589 7.6158 Se
7.0187 1.5530 1.3451 Se
```

For Dy4ThSe5, the PBE geometry in Alexandria gives the theoretical XRD peak list in this record (Cu Kα).
Intensities are scaled so that the largest is 1000.

Main lines, most intense first (2θ from 10° to 90°):
d [Å]  2θ (°)  Rel. int.
2.903  30.8  1000
2.054  44.1  497
3.368  26.5  131
1.684  54.5  131
1.668  55.0  130
3.337  26.7  127

Structure:
```
Dy4ThSe5
1.0
-2.0366 2.9085 10.3250
2.0366 -2.9085 10.3250
2.0366 2.9085 -10.3250
Dy Th Se
4 1 5
Cartesian
0.0000 0.0000 2.0101 Dy
0.0000 0.0000 6.1671 Dy
0.0000 0.0000 14.4830 Dy
0.0000 0.0000 18.6400 Dy
0.0000 0.0000 10.3250 Th
2.0366 0.0000 0.0000 Se
2.0366 0.0000 4.1041 Se
2.0366 0.0000 8.1458 Se
0.0000 2.9085 2.1793 Se
0.0000 2.9085 6.2210 Se
```

For DyTh2Se4, the PBE geometry in Alexandria gives the theoretical XRD peak list in this record (Cu Kα).
Intensities are scaled so that the largest is 1000.

Main lines, most intense first (2θ from 10° to 90°):
d [Å]  2θ (°)  Rel. int.
2.755  32.5  1000
3.578  24.9  843
2.848  31.4  797
2.384  37.7  719
2.765  32.4  558
2.335  38.6  493

Structure:
```
DyTh2Se4
1.0
-4.3565 4.3565 4.5200
4.3565 -4.3565 4.5200
4.3565 4.3565 -4.5200
Dy Th Se
2 4 8
Cartesian
0.0000 0.0000 0.0000 Dy
0.0000 4.3565 2.2600 Dy
2.1782 3.3745 -1.1300 Th
5.3384 2.1782 1.1300 Th
2.1782 0.9820 3.3900 Th
-0.9820 2.1782 5.6500 Th
5.0345 2.7675 -1.8506 Se
2.7675 0.6780 0.4094 Se
3.6784 -1.5890 4.1106 Se
-0.6780 1.5890 2.6694 Se
2.7675 3.6784 1.8506 Se
0.6780 5.9455 -0.4094 Se
1.5890 0.6780 6.3706 Se
1.5890 3.6784 4.9294 Se
```